The following is a calculated powder X-ray diffraction pattern of Zr6NiSn2H10. It was derived from DFT lattice parameters and positions (GGA-PBE), using Cu Kα.

The 12 most intense peaks (2θ from 10° to 90°), sorted by position:
- (1 1 2), 32.88 deg, I 100
- (2 1 0), 33.71 deg, I 54
- (2 0 2), 35.34 deg, I 67
- (2 1 1), 35.92 deg, I 22
- (3 0 0), 38.39 deg, I 61
- (1 0 3), 38.95 deg, I 14
- (2 1 2), 41.95 deg, I 41
- (0 0 4), 49.65 deg, I 17
- (4 1 0), 60.30 deg, I 15
- (2 1 4), 61.36 deg, I 16
- (3 2 2), 62.91 deg, I 31
- (3 0 4), 64.45 deg, I 16

Structural model:
```
data_Zr6NiSn2H10
_symmetry_space_group_name_H-M 'P -6 2 c'
_symmetry_Int_Tables_number 190
_symmetry_space_group_name_Hall 'P -6c -2c'
_cell_length_a 8.1224
_cell_length_b 8.1224
_cell_length_c 7.3447
_cell_angle_alpha 90.00
_cell_angle_beta 90.00
_cell_angle_gamma 120.00
loop_
_atom_site_label
_atom_site_type_symbol
_atom_site_fract_x
_atom_site_fract_y
_atom_site_fract_z
Zr1 Zr 0.0000 0.7412 0.0000
Zr2 Zr 0.0471 0.4155 0.2500
Ni1 Ni 0.0000 0.0000 0.2500
Sn1 Sn 0.3333 0.6667 0.5405
H1 H 0.0000 0.0000 0.0000
H2 H 0.0000 0.2733 0.0000
H3 H 0.1047 0.7032 0.2500
H4 H 0.1186 0.8770 0.7500
```

=====

The following is a calculated powder X-ray diffraction pattern of SrNiH3. It was derived from DFT lattice parameters and positions (GGA-PBE), using Cu Kα.

The 10 most intense peaks (2θ from 10° to 90°), sorted by position:
- (2 0 0), 24.36 deg, I 2
- (2 2 0), 34.73 deg, I 100
- (2 2 2), 42.88 deg, I 1
- (4 0 0), 49.93 deg, I 18
- (4 2 0), 56.31 deg, I 1
- (4 2 2), 62.25 deg, I 35
- (4 4 0), 73.29 deg, I 11
- (6 0 0), 78.55 deg, I 1
- (6 2 0), 83.72 deg, I 15
- (6 2 2), 88.83 deg, I 1

Structural model:
```
data_SrNiH3
_symmetry_space_group_name_H-M 'F m -3 m'
_symmetry_Int_Tables_number 225
_symmetry_space_group_name_Hall '-F 4 2 3'
_cell_length_a 7.307
_cell_length_b 7.307
_cell_length_c 7.307
_cell_angle_alpha 90.00
_cell_angle_beta 90.00
_cell_angle_gamma 90.00
loop_
_atom_site_label
_atom_site_type_symbol
_atom_site_fract_x
_atom_site_fract_y
_atom_site_fract_z
Sr1 Sr 0.250 0.250 0.250
Ni1 Ni 0.000 0.000 0.000
Ni2 Ni 0.000 0.000 0.500
H1 H 0.000 0.000 0.249
```

=====

The following is a calculated powder X-ray diffraction pattern of NpH. It was derived from DFT lattice parameters and positions (GGA-PBE), using Cu Kα.

The 8 most intense peaks (2θ from 10° to 90°), sorted by position:
- (1 1 1), 31.14 deg, I 100
- (2 0 0), 36.11 deg, I 50
- (2 2 0), 52.00 deg, I 37
- (3 1 1), 61.86 deg, I 44
- (2 2 2), 64.94 deg, I 13
- (4 0 0), 76.62 deg, I 6
- (3 3 1), 84.99 deg, I 19
- (4 2 0), 87.75 deg, I 18

Structural model:
```
data_NpH
_symmetry_space_group_name_H-M 'F -4 3 m'
_symmetry_Int_Tables_number 216
_symmetry_space_group_name_Hall 'F -4 2 3'
_cell_length_a 4.974
_cell_length_b 4.974
_cell_length_c 4.974
_cell_angle_alpha 90.00
_cell_angle_beta 90.00
_cell_angle_gamma 90.00
loop_
_atom_site_label
_atom_site_type_symbol
_atom_site_fract_x
_atom_site_fract_y
_atom_site_fract_z
Np1 Np 0.000 0.000 0.000
H1 H 0.250 0.250 0.250
```

=====

The following is a calculated powder X-ray diffraction pattern of PrP3H10O14. It was derived from DFT lattice parameters and positions (GGA-PBE), using Cu Kα.

The 12 most intense peaks (2θ from 10° to 90°), sorted by position:
- (1 0 0), 13.28 deg, I 100
- (0 1 1), 13.57 deg, I 37
- (1 1 0), 13.71 deg, I 68
- (1 1 1), 15.01 deg, I 53
- (0 0 2), 19.32 deg, I 86
- (1 2 0), 21.21 deg, I 61
- (-1 1 1), 22.33 deg, I 90
- (1 -1 1), 22.72 deg, I 46
- (0 1 3), 29.65 deg, I 40
- (1 2 -2), 31.81 deg, I 50
- (2 2 3), 35.91 deg, I 39
- (3 1 0), 37.69 deg, I 33

Structural model:
```
data_PrP3H10O14
_symmetry_space_group_name_H-M 'P -1'
_symmetry_Int_Tables_number 2
_cell_length_a 7.300
_cell_length_b 8.803
_cell_length_c 9.418
_cell_angle_alpha 78.52
_cell_angle_beta 80.61
_cell_angle_gamma 66.49
loop_
_symmetry_equiv_pos_as_xyz
'x,y,z'
'-x,-y,-z'
loop_
_atom_site_label
_atom_site_type_symbol
_atom_site_fract_x
_atom_site_fract_y
_atom_site_fract_z
Pr1 Pr 0.060 0.260 0.270
P1 P 0.137 0.276 0.879
P2 P 0.148 0.071 0.661
P3 P 0.497 0.138 0.690
H1 H 0.198 0.867 0.928
H2 H 0.224 0.960 0.046
H3 H 0.238 0.501 0.321
H4 H 0.275 0.369 0.463
H5 H 0.350 0.488 0.613
H6 H 0.350 0.677 0.115
H7 H 0.367 0.664 0.562
H8 H 0.376 0.399 0.127
H9 H 0.480 0.475 0.791
H10 H 0.485 0.217 0.079
O1 O 0.055 0.221 0.757
O2 O 0.065 0.141 0.518
O3 O 0.076 0.461 0.850
O4 O 0.080 0.195 0.025
O5 O 0.127 0.914 0.745
O6 O 0.178 0.428 0.390
O7 O 0.284 0.855 0.004
O8 O 0.295 0.973 0.279
O9 O 0.303 0.602 0.639
O10 O 0.357 0.293 0.125
O11 O 0.377 0.188 0.844
O12 O 0.386 0.030 0.647
O13 O 0.387 0.563 0.175
O14 O 0.463 0.292 0.577
```